Entry 1:
Calculated powder diffraction line list of Fe10O11F9 for Cu Kα (λ = 1.5418 Å), from a structure optimized by DFT (PBE+U).
Peak positions follow from Bragg's law for the DFT cell and can differ from measured ones.

Top 12 peaks for 2θ from 15° to 90°, low angle first:
26.12°, intensity 1000
27.26°, intensity 941
34.64°, intensity 532
34.83°, intensity 504
40.18°, intensity 172
51.66°, intensity 300
52.07°, intensity 295
53.09°, intensity 268
53.22°, intensity 259
59.98°, intensity 178
66.54°, intensity 199
66.89°, intensity 189

Structural model:
abc: 4.7259 4.7270 15.4241
angles: 89.69 89.63 87.60
Positions (direct):
Fe: 0.0000 0.0000 0.0000
Fe: 0.0018 0.0028 0.8008
Fe: 0.0086 0.9512 0.1978
Fe: 0.0194 0.9620 0.6052
Fe: 0.4844 0.4222 0.1054
Fe: 0.4897 0.4282 0.6934
Fe: 0.4997 0.4216 0.8993
Fe: 0.5114 0.4533 0.5040
Fe: 0.5416 0.4826 0.2949
Fe: 0.9671 0.9818 0.3937
O: 0.1861 0.1610 0.9002
O: 0.1879 0.1412 0.1028
O: 0.1928 0.1494 0.6990
O: 0.3059 0.6534 0.5963
O: 0.3103 0.6538 0.2005
O: 0.6788 0.2657 0.0023
O: 0.6831 0.2692 0.7970
O: 0.6920 0.2877 0.4002
O: 0.7060 0.2523 0.5962
O: 0.7098 0.2571 0.2007
O: 0.8221 0.7798 0.2974
F: 0.1929 0.1542 0.4955
F: 0.2072 0.1653 0.3030
F: 0.2909 0.6569 0.9987
F: 0.2928 0.6597 0.7995
F: 0.3019 0.6776 0.4020
F: 0.7975 0.7664 0.8992
F: 0.8025 0.7580 0.0966
F: 0.8036 0.7604 0.7008
F: 0.8107 0.7737 0.4978

=====

Entry 2:
Calculated powder diffraction line list of Fe3O5F for Cu Kα (λ = 1.5418 Å), from a structure optimized by DFT (PBE+U).
Peak positions follow from Bragg's law for the DFT cell and can differ from measured ones.

Top 12 peaks for 2θ from 15° to 90°, low angle first:
26.41°, intensity 1000
27.66°, intensity 955
35.67°, intensity 959
38.61°, intensity 206
40.30°, intensity 129
41.16°, intensity 126
52.87°, intensity 591
54.27°, intensity 537
54.38°, intensity 157
57.11°, intensity 152
62.08°, intensity 242
67.97°, intensity 393

Structural model:
abc: 5.5455 5.5455 7.3795
angles: 109.77 109.77 71.14
Positions (direct):
Fe: 0.0000 0.0000 0.0000
Fe: 0.0000 0.0000 0.5000
Fe: 0.3191 0.3191 0.3278
Fe: 0.3239 0.3239 0.8455
Fe: 0.6761 0.6761 0.1545
Fe: 0.6809 0.6809 0.6722
O: 0.0247 0.6380 0.3376
O: 0.0909 0.0909 0.2855
O: 0.2192 0.2192 0.0347
O: 0.3145 0.6855 0.0000
O: 0.3620 0.9753 0.6624
O: 0.6380 0.0247 0.3376
O: 0.6855 0.3145 0.0000
O: 0.7808 0.7808 0.9653
O: 0.9091 0.9091 0.7145
O: 0.9753 0.3620 0.6624
F: 0.4398 0.4398 0.6297
F: 0.5602 0.5602 0.3703

=====

Entry 3:
Calculated powder diffraction line list of Fe3O2F8 for Cu Kα (λ = 1.5418 Å), from a structure optimized by DFT (PBE+U).
Peak positions follow from Bragg's law for the DFT cell and can differ from measured ones.

Top 12 peaks for 2θ from 15° to 90°, low angle first:
17.69°, intensity 469
18.05°, intensity 364
23.18°, intensity 935
27.22°, intensity 561
27.42°, intensity 1000
38.05°, intensity 176
43.12°, intensity 197
47.37°, intensity 289
48.23°, intensity 333
55.07°, intensity 200
56.15°, intensity 253
56.58°, intensity 249

Structural model:
abc: 5.3658 5.3658 7.4641
angles: 110.05 110.05 88.57
Positions (direct):
Fe: 0.0000 0.0000 0.0000
Fe: 0.0000 0.5000 0.5000
Fe: 0.5000 0.0000 0.5000
O: 0.2349 0.2349 0.9596
O: 0.7651 0.7651 0.0404
F: 0.0653 0.6865 0.7910
F: 0.2006 0.7994 0.5000
F: 0.3135 0.9347 0.2090
F: 0.3273 0.3273 0.5663
F: 0.6727 0.6727 0.4337
F: 0.6865 0.0653 0.7910
F: 0.7994 0.2006 0.5000
F: 0.9347 0.3135 0.2090

=====

Entry 4:
Calculated powder diffraction line list of Fe2OF3 for Cu Kα (λ = 1.5418 Å), from a structure optimized by DFT (PBE+U).
Peak positions follow from Bragg's law for the DFT cell and can differ from measured ones.

Top 12 peaks for 2θ from 15° to 90°, low angle first:
25.78°, intensity 919
26.82°, intensity 896
34.56°, intensity 1000
39.12°, intensity 185
39.85°, intensity 170
51.36°, intensity 600
52.52°, intensity 503
53.00°, intensity 214
55.27°, intensity 139
59.91°, intensity 172
65.84°, intensity 377
84.06°, intensity 142

Structural model:
abc: 9.2633 4.7950 4.7950
angles: 92.22 90.00 90.00
Positions (direct):
Fe: 0.0000 0.0000 0.0000
Fe: 0.1673 0.5312 0.5312
Fe: 0.3330 0.0511 0.0511
Fe: 0.5000 0.5031 0.5031
Fe: 0.6670 0.0511 0.0511
Fe: 0.8327 0.5312 0.5312
O: 0.0000 0.7058 0.7058
O: 0.3288 0.3490 0.3490
O: 0.6712 0.3490 0.3490
F: 0.0000 0.3189 0.3189
F: 0.1685 0.2370 0.8252
F: 0.1685 0.8252 0.2370
F: 0.3362 0.7379 0.7379
F: 0.5000 0.2440 0.8344
F: 0.5000 0.8344 0.2440
F: 0.6638 0.7379 0.7379
F: 0.8315 0.2370 0.8252
F: 0.8315 0.8252 0.2370

=====

Entry 5:
Calculated powder diffraction line list of Fe4OF7 for Cu Kα (λ = 1.5418 Å), from a structure optimized by DFT (PBE+U).
Peak positions follow from Bragg's law for the DFT cell and can differ from measured ones.

Top 12 peaks for 2θ from 15° to 90°, low angle first:
25.98°, intensity 886
26.68°, intensity 800
33.08°, intensity 1000
37.93°, intensity 175
38.44°, intensity 197
50.53°, intensity 630
51.32°, intensity 507
53.44°, intensity 167
54.97°, intensity 159
56.00°, intensity 198
64.94°, intensity 201
65.04°, intensity 197

Structural model:
abc: 5.8023 5.8023 4.7918
angles: 91.23 91.23 68.94
Positions (direct):
Fe: 0.0000 0.0000 0.0000
Fe: 0.5032 0.9915 0.4892
Fe: 0.5144 0.5144 0.0193
Fe: 0.9915 0.5032 0.4892
O: 0.6520 0.6520 0.2905
F: 0.1494 0.1494 0.3004
F: 0.1676 0.6397 0.1897
F: 0.3544 0.3544 0.7088
F: 0.3558 0.8388 0.8027
F: 0.6397 0.1676 0.1897
F: 0.8388 0.3558 0.8027
F: 0.8546 0.8546 0.6969

=====

Entry 6:
Calculated powder diffraction line list of Fe5O2F8 for Cu Kα (λ = 1.5418 Å), from a structure optimized by DFT (PBE+U).
Peak positions follow from Bragg's law for the DFT cell and can differ from measured ones.

Top 12 peaks for 2θ from 15° to 90°, low angle first:
25.57°, intensity 1000
26.59°, intensity 902
33.71°, intensity 501
33.84°, intensity 476
50.36°, intensity 166
50.69°, intensity 310
51.76°, intensity 387
52.53°, intensity 175
58.10°, intensity 181
64.67°, intensity 161
64.94°, intensity 158
65.05°, intensity 256

Structural model:
abc: 4.8280 8.0086 10.1731
angles: 70.65 87.93 88.55
Positions (direct):
Fe: 0.0000 0.0000 0.0000
Fe: 0.0029 0.1913 0.4087
Fe: 0.4246 0.7084 0.9047
Fe: 0.4633 0.2978 0.1250
Fe: 0.4734 0.1035 0.7172
Fe: 0.4907 0.9090 0.3171
Fe: 0.4955 0.5070 0.5026
Fe: 0.9455 0.6112 0.2241
Fe: 0.9853 0.4183 0.8128
Fe: 0.9957 0.7959 0.6270
O: 0.1817 0.6441 0.7989
O: 0.2863 0.9390 0.9007
O: 0.3000 0.1239 0.2915
O: 0.6704 0.6832 0.3256
F: 0.1609 0.2353 0.9916
F: 0.1612 0.4519 0.3816
F: 0.1655 0.8413 0.1880
F: 0.1788 0.0422 0.5939
F: 0.2647 0.5579 0.0992
F: 0.2758 0.7541 0.4819
F: 0.2825 0.3522 0.6781
F: 0.6539 0.4700 0.9486
F: 0.6765 0.8544 0.7473
F: 0.6849 0.2539 0.5315
F: 0.6992 0.0493 0.1300
F: 0.7790 0.5581 0.6381
F: 0.7786 0.9552 0.4399
F: 0.7900 0.1625 0.8423
F: 0.7895 0.7645 0.0359
F: 0.7929 0.3793 0.2307

=====

Entry 7:
Calculated powder diffraction line list of Fe5O3F7 for Cu Kα (λ = 1.5418 Å), from a structure optimized by DFT (PBE+U).
Peak positions follow from Bragg's law for the DFT cell and can differ from measured ones.

Top 12 peaks for 2θ from 15° to 90°, low angle first:
26.33°, intensity 1000
34.08°, intensity 555
37.58°, intensity 73
39.07°, intensity 196
42.19°, intensity 57
51.62°, intensity 529
51.69°, intensity 81
54.12°, intensity 91
54.28°, intensity 88
58.63°, intensity 95
65.36°, intensity 118
65.59°, intensity 205

Structural model:
abc: 4.7841 4.7888 15.7467
angles: 89.99 89.96 89.85
Positions (direct):
Fe: 0.0000 0.0000 0.0000
Fe: 0.9998 0.0151 0.7933
Fe: 0.4431 0.5161 0.7059
Fe: 0.4555 0.5538 0.9012
Fe: 0.4590 0.5129 0.4987
Fe: 0.4606 0.5070 0.2922
Fe: 0.4730 0.5329 0.0991
Fe: 0.9467 0.0739 0.2054
Fe: 0.9964 0.0566 0.5984
Fe: 0.9987 0.0552 0.3989
O: 0.1444 0.2124 0.2992
O: 0.1578 0.2138 0.4981
O: 0.1758 0.2281 0.6916
O: 0.2908 0.7109 0.8012
O: 0.2997 0.7079 0.0025
O: 0.6569 0.3408 0.1896
F: 0.1679 0.2295 0.1036
F: 0.1924 0.2241 0.9001
F: 0.2517 0.7390 0.1905
F: 0.2632 0.7258 0.3955
F: 0.2694 0.7255 0.6036
F: 0.6690 0.3262 0.6051
F: 0.6711 0.3140 0.3981
F: 0.6746 0.3264 0.8021
F: 0.6834 0.3244 0.9982
F: 0.7655 0.8146 0.6884
F: 0.7668 0.8370 0.3005
F: 0.7716 0.8281 0.4992
F: 0.7737 0.8354 0.1060
F: 0.7815 0.8165 0.8976

=====

Entry 8:
Calculated powder diffraction line list of Fe3O5F for Cu Kα (λ = 1.5418 Å), from a structure optimized by DFT (PBE+U).
Peak positions follow from Bragg's law for the DFT cell and can differ from measured ones.

Top 12 peaks for 2θ from 15° to 90°, low angle first:
26.57°, intensity 1000
27.89°, intensity 960
35.35°, intensity 530
35.59°, intensity 516
38.89°, intensity 197
52.61°, intensity 150
53.16°, intensity 290
54.41°, intensity 279
54.71°, intensity 158
57.62°, intensity 155
61.36°, intensity 163
68.45°, intensity 197

Structural model:
abc: 5.5149 5.5485 7.0806
angles: 73.45 72.94 74.69
Positions (direct):
Fe: 0.0000 0.0000 0.0000
Fe: 0.0000 0.0000 0.5000
Fe: 0.3049 0.3603 0.1669
Fe: 0.3361 0.3450 0.6595
Fe: 0.6639 0.6550 0.3405
Fe: 0.6951 0.6397 0.8331
O: 0.0111 0.6557 0.1646
O: 0.0932 0.1087 0.2031
O: 0.2247 0.2372 0.4624
O: 0.3113 0.6985 0.4943
O: 0.4375 0.4348 0.8730
O: 0.5625 0.5652 0.1270
O: 0.6887 0.3015 0.5057
O: 0.7753 0.7628 0.5376
O: 0.9068 0.8913 0.7969
O: 0.9889 0.3443 0.8354
F: 0.3749 0.9646 0.8314
F: 0.6251 0.0354 0.1686

=====

Entry 9:
Calculated powder diffraction line list of Fe4O7F for Cu Kα (λ = 1.5418 Å), from a structure optimized by DFT (PBE+U).
Peak positions follow from Bragg's law for the DFT cell and can differ from measured ones.

Top 12 peaks for 2θ from 15° to 90°, low angle first:
27.25°, intensity 1000
35.71°, intensity 522
38.92°, intensity 104
40.84°, intensity 134
43.74°, intensity 53
53.82°, intensity 432
53.89°, intensity 149
56.22°, intensity 158
61.97°, intensity 80
68.28°, intensity 49
68.45°, intensity 150
68.96°, intensity 113

Structural model:
abc: 9.7184 9.7184 5.5128
angles: 99.61 99.61 144.10
Positions (direct):
Fe: 0.0589 0.9411 0.5000
Fe: 0.1825 0.7996 0.9639
Fe: 0.2827 0.6614 0.4548
Fe: 0.4271 0.5566 0.9730
Fe: 0.5566 0.4271 0.4730
Fe: 0.6614 0.2827 0.9548
Fe: 0.7996 0.1825 0.4639
Fe: 0.9411 0.0589 0.0000
O: 0.1359 0.1688 0.8012
O: 0.1688 0.1359 0.3012
O: 0.1929 0.4733 0.6576
O: 0.2245 0.4475 0.1669
O: 0.3731 0.8941 0.7623
O: 0.4035 0.8726 0.2756
O: 0.4475 0.2245 0.6669
O: 0.4733 0.1929 0.1576
O: 0.6350 0.6657 0.7922
O: 0.6657 0.6350 0.2922
O: 0.7257 0.9470 0.1684
O: 0.8726 0.4035 0.7756
O: 0.8941 0.3731 0.2623
O: 0.9470 0.7257 0.6684
F: 0.6990 0.9748 0.6673
F: 0.9748 0.6990 0.1673

=====

Entry 10:
Calculated powder diffraction line list of Fe2OF3 for Cu Kα (λ = 1.5418 Å), from a structure optimized by DFT (PBE+U).
Peak positions follow from Bragg's law for the DFT cell and can differ from measured ones.

Top 12 peaks for 2θ from 15° to 90°, low angle first:
25.62°, intensity 882
26.44°, intensity 901
34.11°, intensity 1000
37.15°, intensity 126
38.71°, intensity 189
39.28°, intensity 173
50.86°, intensity 575
51.78°, intensity 521
52.65°, intensity 215
54.44°, intensity 138
59.03°, intensity 174
65.04°, intensity 376

Structural model:
abc: 15.6495 4.8426 4.8426
angles: 91.77 90.00 90.00
Positions (direct):
Fe: 0.0000 0.0000 0.0000
Fe: 0.0997 0.5318 0.5318
Fe: 0.1997 0.0544 0.0544
Fe: 0.2993 0.5064 0.5064
Fe: 0.3998 0.0432 0.0432
Fe: 0.5000 0.5060 0.5060
Fe: 0.6002 0.0432 0.0432
Fe: 0.7007 0.5064 0.5064
Fe: 0.8003 0.0544 0.0544
Fe: 0.9003 0.5318 0.5318
O: 0.0000 0.7025 0.7025
O: 0.1968 0.3520 0.3520
O: 0.3995 0.3425 0.3425
O: 0.6005 0.3425 0.3425
O: 0.8032 0.3520 0.3520
F: 0.0000 0.3208 0.3208
F: 0.0998 0.2368 0.8211
F: 0.0998 0.8211 0.2368
F: 0.2015 0.7354 0.7354
F: 0.2994 0.2430 0.8234
F: 0.2994 0.8234 0.2430
F: 0.3999 0.7280 0.7280
F: 0.5000 0.2401 0.8206
F: 0.5000 0.8206 0.2401
F: 0.6001 0.7280 0.7280
F: 0.7006 0.2430 0.8234
F: 0.7006 0.8234 0.2430
F: 0.7985 0.7354 0.7354
F: 0.9002 0.2368 0.8211
F: 0.9002 0.8211 0.2368

=====

Question: Which formula does entry 2 have?
Answer: Fe3O5F